[1]
Starting from a structure optimized by DFT (PBE+U), the powder X-ray diffraction pattern of As2WO7 was calculated for Cu Kα, 1.54184 Å.
Kinematic intensities with the Lorentz-polarization factor, no thermal factor.

Atomic structure:
Unit cell a=7.408 b=9.537 c=10.109 alpha=90.00 beta=94.39 gamma=90.00
Space group P2_1/c (No. 14)
Inequivalent atoms, fractional coordinates:
As 0.097 0.228 0.233 [4 per cell]
As 0.374 0.241 0.994 [4 per cell]
W 0.304 0.543 0.196 [4 per cell]
O 0.101 0.092 0.748 [4 per cell]
O 0.122 0.682 0.241 [4 per cell]
O 0.146 0.172 0.079 [4 per cell]
O 0.233 0.152 0.363 [4 per cell]
O 0.382 0.659 0.071 [4 per cell]
O 0.395 0.124 0.616 [4 per cell]
O 0.462 0.557 0.332 [4 per cell]

The 10 most intense peaks (2θ from 10° to 90°), low angle first:
- 12.78 deg, I 236, (0 1 1)
- 17.08 deg, I 578, (1 1 -1)
- 17.60 deg, I 392, (0 0 2)
- 18.01 deg, I 1000, (1 1 1)
- 20.61 deg, I 365, (0 2 1)
- 22.12 deg, I 515, (1 0 2)
- 26.75 deg, I 315, (2 1 -1)
- 27.87 deg, I 573, (1 2 -2)
- 30.37 deg, I 304, (2 1 -2)
- 30.62 deg, I 421, (1 3 0)

[2]
Starting from a structure optimized by DFT (PBE+U), the powder X-ray diffraction pattern of V2O2F3 was calculated for Cu Kα, 1.54184 Å.
Kinematic intensities with the Lorentz-polarization factor, no thermal factor.

Atomic structure:
Unit cell a=9.869 b=5.064 c=7.097 alpha=90.00 beta=111.28 gamma=90.00
Space group C2/c (No. 15)
Inequivalent atoms, fractional coordinates:
V 0.203 0.016 0.382 [8 per cell]
O 0.216 0.166 0.652 [8 per cell]
F 0.000 0.118 0.250 [4 per cell]
F 0.122 0.320 0.960 [8 per cell]

The 10 most intense peaks (2θ from 10° to 90°), low angle first:
- 19.30 deg, I 1000, (2 0 0)
- 20.02 deg, I 256, (1 1 0)
- 26.90 deg, I 297, (2 0 -2)
- 30.77 deg, I 643, (1 1 -2)
- 36.58 deg, I 201, (1 1 2)
- 40.72 deg, I 276, (3 1 1)
- 52.97 deg, I 241, (5 1 0)
- 53.52 deg, I 198, (4 2 -2)
- 55.78 deg, I 196, (3 1 -4)
- 64.42 deg, I 194, (1 3 2)

[3]
Starting from a structure optimized by DFT (PBE+U), the powder X-ray diffraction pattern of ZnFe2O4 was calculated for Cu Kα, 1.54184 Å.
Kinematic intensities with the Lorentz-polarization factor, no thermal factor.

Atomic structure:
Unit cell a=2.936 b=9.723 c=10.057 alpha=90.00 beta=90.00 gamma=90.00
Space group Cmcm (No. 63)
Inequivalent atoms, fractional coordinates:
Zn 0.000 0.113 0.250 [4 per cell]
Fe 0.000 0.368 0.074 [8 per cell]
O 0.000 0.000 0.000 [4 per cell]
O 0.000 0.270 0.613 [8 per cell]
O 0.000 0.464 0.250 [4 per cell]

The 10 most intense peaks (2θ from 10° to 90°), low angle first:
- 32.44 deg, I 1000, (0 2 3)
- 33.09 deg, I 288, (1 1 1)
- 36.63 deg, I 239, (1 1 2)
- 36.98 deg, I 195, (0 4 0)
- 42.51 deg, I 468, (1 3 1)
- 45.42 deg, I 381, (1 3 2)
- 56.24 deg, I 200, (1 1 5)
- 59.95 deg, I 175, (1 5 2)
- 63.78 deg, I 261, (0 6 3)
- 73.00 deg, I 170, (2 2 3)

[4]
Starting from a structure optimized by DFT (PBE+U), the powder X-ray diffraction pattern of Ca3As2W10O8 was calculated for Cu Kα, 1.54184 Å.
Kinematic intensities with the Lorentz-polarization factor, no thermal factor.

Atomic structure:
Unit cell a=5.826 b=11.064 c=13.431 alpha=107.24 beta=93.92 gamma=94.60
Space group P-1 (No. 2)
Inequivalent atoms, fractional coordinates:
Ca 0.047 0.242 0.389 [2 per cell]
Ca 0.396 0.229 0.695 [2 per cell]
Ca 0.411 0.572 0.662 [2 per cell]
As 0.048 0.020 0.798 [2 per cell]
As 0.190 0.571 0.439 [2 per cell]
W 0.063 0.604 0.871 [2 per cell]
W 0.085 0.675 0.278 [2 per cell]
W 0.108 0.377 0.924 [2 per cell]
W 0.126 0.145 0.092 [2 per cell]
W 0.134 0.926 0.412 [2 per cell]
W 0.210 0.841 0.055 [2 per cell]
W 0.347 0.840 0.834 [2 per cell]
W 0.349 0.574 0.083 [2 per cell]
W 0.419 0.930 0.585 [2 per cell]
W 0.469 0.319 0.069 [2 per cell]
O 0.028 0.494 0.681 [2 per cell]
O 0.171 0.053 0.324 [2 per cell]
O 0.287 0.425 0.445 [2 per cell]
O 0.291 0.044 0.722 [2 per cell]
O 0.348 0.784 0.663 [2 per cell]
O 0.351 0.024 0.131 [2 per cell]
O 0.394 0.272 0.898 [2 per cell]
O 0.406 0.614 0.361 [2 per cell]

The 10 most intense peaks (2θ from 10° to 90°), low angle first:
- 12.43 deg, I 719, (0 1 1)
- 13.87 deg, I 765, (0 0 2)
- 20.13 deg, I 734, (0 2 1)
- 34.44 deg, I 959, (-1 3 2)
- 35.37 deg, I 654, (1 -3 4)
- 36.11 deg, I 1000, (2 1 -3)
- 37.53 deg, I 712, (1 4 -1)
- 37.98 deg, I 579, (2 -3 1)
- 38.76 deg, I 729, (0 1 5)
- 42.45 deg, I 1000, (2 1 3)

[5]
Starting from a structure optimized by DFT (PBE+U), the powder X-ray diffraction pattern of EuNiSnWO6 was calculated for Cu Kα, 1.54184 Å.
Kinematic intensities with the Lorentz-polarization factor, no thermal factor.

Atomic structure:
Unit cell a=7.999 b=7.999 c=7.999 alpha=90.00 beta=90.00 gamma=90.00
Space group F-43m (No. 216)
Inequivalent atoms, fractional coordinates:
Eu 0.000 0.000 0.000 [4 per cell]
Ni 0.250 0.250 0.250 [4 per cell]
Sn 0.000 0.000 0.500 [4 per cell]
W 0.250 0.250 0.750 [4 per cell]
O 0.006 0.250 0.750 [24 per cell]

The 10 most intense peaks (2θ from 10° to 90°), low angle first:
- 19.22 deg, I 143, (1 1 1)
- 31.64 deg, I 1000, (2 2 0)
- 37.28 deg, I 76, (3 1 1)
- 45.35 deg, I 293, (4 0 0)
- 49.68 deg, I 32, (3 3 1)
- 56.35 deg, I 401, (4 2 2)
- 60.11 deg, I 29, (5 1 1)
- 66.08 deg, I 181, (4 4 0)
- 75.11 deg, I 177, (6 2 0)
- 83.78 deg, I 62, (4 4 4)

[6]
Starting from a structure optimized by DFT (PBE+U), the powder X-ray diffraction pattern of Li3Mn2O5 was calculated for Cu Kα, 1.54184 Å.
Kinematic intensities with the Lorentz-polarization factor, no thermal factor.

Atomic structure:
Unit cell a=5.084 b=5.232 c=7.632 alpha=110.02 beta=102.81 gamma=97.63
Space group P-1 (No. 2)
Inequivalent atoms, fractional coordinates:
Li 0.000 0.000 0.000 [1 per cell]
Li 0.000 0.405 0.795 [2 per cell]
Li 0.015 0.202 0.405 [2 per cell]
Li 0.500 0.000 0.500 [1 per cell]
Mn 0.499 0.199 0.897 [2 per cell]
Mn 0.500 0.400 0.302 [2 per cell]
O 0.266 0.386 0.058 [2 per cell]
O 0.269 0.781 0.849 [2 per cell]
O 0.272 0.581 0.454 [2 per cell]
O 0.281 0.235 0.667 [2 per cell]
O 0.284 0.026 0.247 [2 per cell]

The 10 most intense peaks (2θ from 10° to 90°), low angle first:
- 12.89 deg, I 109, (0 0 1)
- 18.06 deg, I 84, (0 1 -1)
- 18.38 deg, I 1000, (1 0 0)
- 34.62 deg, I 155, (0 2 -1)
- 36.38 deg, I 230, (0 1 -3)
- 41.79 deg, I 350, (1 2 -1)
- 44.20 deg, I 291, (-2 1 2)
- 44.31 deg, I 289, (1 -1 3)
- 62.35 deg, I 171, (0 3 -4)
- 62.71 deg, I 84, (2 1 2)

[7]
Starting from a structure optimized by DFT (PBE+U), the powder X-ray diffraction pattern of BaSrTbVO6 was calculated for Cu Kα, 1.54184 Å.
Kinematic intensities with the Lorentz-polarization factor, no thermal factor.

Atomic structure:
Unit cell a=8.305 b=8.305 c=8.305 alpha=90.00 beta=90.00 gamma=90.00
Space group F-43m (No. 216)
Inequivalent atoms, fractional coordinates:
Ba 0.000 0.000 0.000 [4 per cell]
Sr 0.000 0.000 0.500 [4 per cell]
Tb 0.250 0.250 0.750 [4 per cell]
V 0.250 0.250 0.250 [4 per cell]
O 0.020 0.250 0.250 [24 per cell]

The 10 most intense peaks (2θ from 10° to 90°), low angle first:
- 18.50 deg, I 145, (1 1 1)
- 30.44 deg, I 1000, (2 2 0)
- 35.86 deg, I 117, (3 1 1)
- 43.59 deg, I 316, (4 0 0)
- 47.73 deg, I 66, (3 3 1)
- 54.10 deg, I 392, (4 2 2)
- 63.35 deg, I 191, (4 4 0)
- 71.90 deg, I 178, (6 2 0)
- 80.05 deg, I 63, (4 4 4)
- 87.99 deg, I 214, (6 4 2)

[8]
Starting from a structure optimized by DFT (PBE+U), the powder X-ray diffraction pattern of Li6MnO2F4 was calculated for Cu Kα, 1.54184 Å.
Kinematic intensities with the Lorentz-polarization factor, no thermal factor.

Atomic structure:
Unit cell a=5.572 b=6.998 c=8.405 alpha=89.97 beta=89.59 gamma=71.62
Space group P-1 (No. 2)
Inequivalent atoms, fractional coordinates:
Li 0.012 0.013 0.345 [2 per cell]
Li 0.027 0.515 0.845 [2 per cell]
Li 0.303 0.671 0.283 [2 per cell]
Li 0.331 0.178 0.182 [2 per cell]
Li 0.392 0.172 0.823 [2 per cell]
Li 0.416 0.677 0.645 [2 per cell]
Mn 0.000 0.000 0.000 [1 per cell]
Mn 0.000 0.500 0.500 [1 per cell]
O 0.229 0.419 0.311 [2 per cell]
O 0.249 0.928 0.176 [2 per cell]
F 0.137 0.293 0.986 [2 per cell]
F 0.141 0.790 0.494 [2 per cell]
F 0.306 0.927 0.774 [2 per cell]
F 0.328 0.433 0.711 [2 per cell]

The 10 most intense peaks (2θ from 10° to 90°), low angle first:
- 16.77 deg, I 546, (1 0 0)
- 17.02 deg, I 1000, (0 1 1)
- 26.82 deg, I 740, (1 2 0)
- 27.01 deg, I 368, (1 0 2)
- 27.20 deg, I 376, (1 0 -2)
- 40.35 deg, I 335, (1 3 -1)
- 40.86 deg, I 198, (-1 1 3)
- 42.12 deg, I 189, (2 2 2)
- 52.30 deg, I 224, (2 -1 3)
- 52.67 deg, I 168, (-2 1 3)

Repeat the sixth record exactly.
Starting from a structure optimized by DFT (PBE+U), the powder X-ray diffraction pattern of Li3Mn2O5 was calculated for Cu Kα, 1.54184 Å.
Kinematic intensities with the Lorentz-polarization factor, no thermal factor.

Atomic structure:
Unit cell a=5.084 b=5.232 c=7.632 alpha=110.02 beta=102.81 gamma=97.63
Space group P-1 (No. 2)
Inequivalent atoms, fractional coordinates:
Li 0.000 0.000 0.000 [1 per cell]
Li 0.000 0.405 0.795 [2 per cell]
Li 0.015 0.202 0.405 [2 per cell]
Li 0.500 0.000 0.500 [1 per cell]
Mn 0.499 0.199 0.897 [2 per cell]
Mn 0.500 0.400 0.302 [2 per cell]
O 0.266 0.386 0.058 [2 per cell]
O 0.269 0.781 0.849 [2 per cell]
O 0.272 0.581 0.454 [2 per cell]
O 0.281 0.235 0.667 [2 per cell]
O 0.284 0.026 0.247 [2 per cell]

The 10 most intense peaks (2θ from 10° to 90°), low angle first:
- 12.89 deg, I 109, (0 0 1)
- 18.06 deg, I 84, (0 1 -1)
- 18.38 deg, I 1000, (1 0 0)
- 34.62 deg, I 155, (0 2 -1)
- 36.38 deg, I 230, (0 1 -3)
- 41.79 deg, I 350, (1 2 -1)
- 44.20 deg, I 291, (-2 1 2)
- 44.31 deg, I 289, (1 -1 3)
- 62.35 deg, I 171, (0 3 -4)
- 62.71 deg, I 84, (2 1 2)